1.
Starting from a crystal structure in OQMD, relaxed with PBE, the PXRD pattern of BaSrHgSbAs was computed for Cu Kα (weighted mean of Kα1 and Kα2).

a b c (Å): 4.708 17.720 8.026
angles (deg): 90.00 90.00 90.00
Space group Cmc2_1 (No. 36)
Symmetry-distinct sites (fractional):
1 Ba 0.000 0.215 0.000
2 Sr 0.000 0.031 0.368
3 Hg 0.000 0.407 0.203
4 Sb 0.000 0.431 0.578
5 As 0.000 0.167 0.606

Principal peaks in the range 2θ = 10–90°, in order of rising 2θ:
| Position (°2θ) | I_rel |
| --- | --- |
| 14.89 | 57.9 |
| 22.15 | 22.9 |
| 26.64 | 85.8 |
| 29.68 | 69.9 |
| 30.05 | 34.6 |
| 31.60 | 100.0 |
| 33.02 | 38.3 |
| 35.04 | 33.3 |
| 38.23 | 51.4 |
| 39.34 | 24.0 |
| 41.74 | 40.7 |
| 52.83 | 22.6 |

2.
Starting from a crystal structure in OQMD, relaxed with PBE, the PXRD pattern of GeAu7 was computed for Cu Kα (weighted mean of Kα1 and Kα2).

a b c (Å): 2.933 2.933 47.441
angles (deg): 90.00 90.00 90.00
Space group P4/nmm (No. 129, origin choice 2)
Symmetry-distinct sites (fractional):
1 Ge 0.250 0.250 0.170
2 Au 0.250 0.250 0.257
3 Au 0.250 0.250 0.346
4 Au 0.250 0.250 0.434
5 Au 0.250 0.250 0.522
6 Au 0.250 0.250 0.610
7 Au 0.250 0.250 0.699
8 Au 0.250 0.250 0.789

Principal peaks in the range 2θ = 10–90°, in order of rising 2θ:
| Position (°2θ) | I_rel |
| --- | --- |
| 37.07 | 100.0 |
| 38.21 | 50.4 |
| 41.89 | 11.7 |
| 43.66 | 49.9 |
| 43.88 | 16.9 |
| 62.10 | 14.8 |
| 63.45 | 16.7 |
| 63.62 | 20.0 |
| 75.45 | 14.5 |
| 75.81 | 25.8 |
| 76.53 | 13.8 |
| 80.34 | 10.2 |

3.
Starting from a crystal structure in OQMD, relaxed with PBE, the PXRD pattern of Ga2Pd3 was computed for Cu Kα (weighted mean of Kα1 and Kα2).

a b c (Å): 7.168 7.168 2.992
angles (deg): 90.00 90.00 90.00
Space group P4/mbm (No. 127)
Symmetry-distinct sites (fractional):
1 Ga 0.152 0.348 0.000
2 Pd 0.000 0.000 0.000
3 Pd 0.146 0.646 0.500

Principal peaks in the range 2θ = 10–90°, in order of rising 2θ:
| Position (°2θ) | I_rel |
| --- | --- |
| 34.82 | 20.2 |
| 35.42 | 9.6 |
| 39.22 | 9.8 |
| 39.77 | 69.3 |
| 41.28 | 100.0 |
| 55.50 | 7.3 |
| 57.50 | 9.0 |
| 60.19 | 6.9 |
| 61.71 | 9.9 |
| 62.04 | 10.4 |
| 76.26 | 19.6 |
| 78.68 | 22.0 |

4.
Starting from a crystal structure in OQMD, relaxed with PBE, the PXRD pattern of NdDyCo2Ge2C was computed for Cu Kα (weighted mean of Kα1 and Kα2).

a b c (Å): 10.849 3.979 6.927
angles (deg): 90.00 128.54 90.00
Space group Cm (No. 8)
Symmetry-distinct sites (fractional):
1 Nd 0.000 0.000 0.000
2 Dy 0.118 0.000 0.589
3 Co 0.251 0.500 0.380
4 Co 0.372 0.000 0.219
5 Ge 0.226 0.500 0.006
6 Ge 0.393 0.000 0.584
7 C 0.064 0.500 0.309

Principal peaks in the range 2θ = 10–90°, in order of rising 2θ:
| Position (°2θ) | I_rel |
| --- | --- |
| 24.71 | 31.8 |
| 33.07 | 33.5 |
| 33.31 | 55.2 |
| 33.67 | 82.7 |
| 34.49 | 45.1 |
| 35.82 | 100.0 |
| 36.13 | 47.6 |
| 39.07 | 65.4 |
| 40.71 | 37.7 |
| 45.59 | 47.8 |
| 62.75 | 20.5 |
| 64.64 | 29.9 |